1.
The following is a simulated X-ray powder pattern of Ca3HoBi2As. It was derived from a crystal structure in Alexandria, relaxed with PBE, using copper Kα.

Atomic structure:
Cell: 5.3190 5.3898 16.5893 Å, 90.00 90.00 90.00°
Space group Immm (No. 71)
Unique sites:
Ca: 0.0000 0.0000 0.0000 x2
Ca: 0.0000 0.5000 0.3247 x4
Ho: 0.0000 0.0000 0.5000 x2
Bi: 0.0000 0.5000 0.1324 x4
As: 0.0000 0.5000 0.5000 x2

Top 8 peaks for 2θ from 5° to 70°, in order of rising 2θ:
10.7 deg, I 40
17.3 deg, I 53
23.2 deg, I 69
23.5 deg, I 47
31.8 deg, I 37
32.0 deg, I 100
33.2 deg, I 44
33.7 deg, I 43

---

2.
The following is a simulated X-ray powder pattern of Ca3LaBi2As. It was derived from a crystal structure in Alexandria, relaxed with PBE, using copper Kα.

Atomic structure:
Cell: 5.4012 5.6894 16.6498 Å, 90.00 90.00 90.00°
Space group Immm (No. 71)
Unique sites:
Ca: 0.0000 0.0000 0.0000 x2
Ca: 0.0000 0.5000 0.3235 x4
La: 0.0000 0.0000 0.5000 x2
Bi: 0.0000 0.5000 0.1336 x4
As: 0.0000 0.5000 0.5000 x2

Top 8 peaks for 2θ from 5° to 70°, in order of rising 2θ:
16.5 deg, I 34
22.7 deg, I 41
23.0 deg, I 45
31.4 deg, I 100
31.6 deg, I 22
33.2 deg, I 29
39.3 deg, I 24
46.4 deg, I 23

---

3.
The following is a simulated X-ray powder pattern of CaBiAsO6. It was derived from a crystal structure in Alexandria, relaxed with PBE, using copper Kα.

Atomic structure:
Cell: 7.1451 5.1839 7.5404 Å, 90.00 103.71 90.00°
Space group P2_1 (No. 4)
Unique sites:
Ca: 0.2460 0.0000 0.0747 x2
Bi: 0.4100 0.9451 0.5889 x2
As: 0.2179 0.5358 0.7827 x2
O: 0.0739 0.6114 0.9253 x2
O: 0.1592 0.6893 0.5696 x2
O: 0.2372 0.2052 0.7756 x2
O: 0.3228 0.2195 0.3726 x2
O: 0.3971 0.7478 0.3208 x2
O: 0.4305 0.7142 0.8722 x2

Top 8 peaks for 2θ from 5° to 70°, in order of rising 2θ:
12.1 deg, I 48
12.8 deg, I 82
19.6 deg, I 91
23.1 deg, I 49
29.9 deg, I 50
30.2 deg, I 65
31.0 deg, I 100
47.3 deg, I 25